No. 1
# BaLiV2Ni3H2O10
Computed powder diffractogram, copper Kα. Input: a cell relaxed with GGA+U.
Lines closer than 0.1° are merged.

Main lines, sorted by position (2θ from 5° to 70°):
hkl 0 0 1, 2θ = 12.41°, 7.131 Å, I = 46.0; hkl 0 1 -1, 2θ = 17.66°, 5.022 Å, I = 40.3; hkl 1 0 -2, 2θ = 26.54°, 3.359 Å, I = 100.0; hkl 1 -1 2, 2θ = 27.85°, 3.203 Å, I = 47.5; hkl 1 1 -1, 2θ = 29.74°, 3.004 Å, I = 58.2; hkl 1 1 -2, 2θ = 32.29°, 2.772 Å, I = 43.5; hkl -1 1 2, 2θ = 33.03°, 2.712 Å, I = 62.5; hkl 1 0 2, 2θ = 34.51°, 2.599 Å, I = 65.6; hkl 2 -2 1, 2θ = 35.07°, 2.559 Å, I = 42.1; hkl 2 0 -2, 2θ = 38.01°, 2.367 Å, I = 35.4

```
data_BaLiV2Ni3H2O10
_symmetry_space_group_name_H-M 'P 1'
_symmetry_Int_Tables_number 1
_cell_length_a 6.008
_cell_length_b 6.012
_cell_length_c 7.838
_cell_angle_alpha 109.42
_cell_angle_beta 92.83
_cell_angle_gamma 119.91
loop_
_symmetry_equiv_pos_as_xyz
'x,y,z'
loop_
_atom_site_label
_atom_site_fract_x
_atom_site_fract_y
_atom_site_fract_z
_atom_site_occupancy
Ba1 0.000 0.000 0.000 1
Li1 0.822 0.383 0.199 1
V1 0.371 0.901 0.267 1
V2 0.543 0.222 0.763 1
Ni1 0.442 0.557 0.513 1
Ni2 0.959 0.074 0.513 1
Ni3 0.961 0.569 0.526 1
H1 0.222 0.582 0.802 1
H2 0.656 0.591 0.245 1
O1 0.176 0.487 0.661 1
O2 0.191 0.007 0.687 1
O3 0.201 0.597 0.333 1
O4 0.233 0.121 0.349 1
O5 0.264 0.753 0.019 1
O6 0.622 0.384 0.005 1
O7 0.677 0.016 0.691 1
O8 0.682 0.498 0.687 1
O9 0.732 0.651 0.379 1
O10 0.739 0.136 0.332 1
```

---

No. 2
# BaLiV2Ni3H2O10
Computed powder diffractogram, copper Kα. Input: a cell relaxed with GGA+U.
Lines closer than 0.1° are merged.

Main lines, sorted by position (2θ from 5° to 70°):
hkl 0 0 1, 2θ = 12.57°, 7.040 Å, I = 40.0; hkl 0 1 -1, 2θ = 19.13°, 4.640 Å, I = 31.8; hkl 0 0 2, 2θ = 25.30°, 3.520 Å, I = 27.2; hkl 1 0 -1, 2θ = 26.58°, 3.353 Å, I = 49.9; hkl 1 1 2, 2θ = 27.44°, 3.250 Å, I = 100.0; hkl 1 1 -2, 2θ = 34.13°, 2.627 Å, I = 27.3; hkl 1 0 3, 2θ = 35.01°, 2.563 Å, I = 39.9; hkl 2 0 0, 2θ = 37.82°, 2.379 Å, I = 34.8; hkl 0 2 -2, 2θ = 38.75°, 2.324 Å, I = 28.1; hkl 2 2 2, 2θ = 38.88°, 2.316 Å, I = 30.6

```
data_BaLiV2Ni3H2O10
_symmetry_space_group_name_H-M 'P 1'
_symmetry_Int_Tables_number 1
_cell_length_a 5.998
_cell_length_b 6.028
_cell_length_c 7.725
_cell_angle_alpha 89.93
_cell_angle_beta 68.97
_cell_angle_gamma 60.50
loop_
_symmetry_equiv_pos_as_xyz
'x,y,z'
loop_
_atom_site_label
_atom_site_fract_x
_atom_site_fract_y
_atom_site_fract_z
_atom_site_occupancy
Ba1 0.000 0.000 0.000 1
Li1 0.474 0.427 0.851 1
V1 0.193 0.333 0.248 1
V2 0.890 0.491 0.747 1
Ni1 0.050 0.911 0.501 1
Ni2 0.533 0.422 0.498 1
Ni3 0.548 0.906 0.488 1
H1 0.532 0.099 0.763 1
H2 0.544 0.639 0.210 1
O1 0.098 0.644 0.693 1
O2 0.116 0.133 0.660 1
O3 0.331 0.234 0.003 1
O4 0.462 0.701 0.351 1
O5 0.474 0.200 0.319 1
O6 0.594 0.633 0.670 1
O7 0.630 0.115 0.634 1
O8 0.682 0.494 0.982 1
O9 0.978 0.202 0.331 1
O10 0.996 0.676 0.314 1
```

---

No. 3
# BaMgV2Ni3H2O10
Computed powder diffractogram, copper Kα. Input: a cell relaxed with GGA+U.
Lines closer than 0.1° are merged.

Main lines, sorted by position (2θ from 5° to 70°):
hkl 0 0 2, 2θ = 23.91°, 3.722 Å, I = 57.6; hkl 2 0 1, 2θ = 26.09°, 3.415 Å, I = 52.0; hkl 1 1 -2, 2θ = 26.47°, 3.367 Å, I = 100.0; hkl 3 1 -1, 2θ = 30.03°, 2.975 Å, I = 55.0; hkl 0 2 1, 2θ = 31.95°, 2.802 Å, I = 47.0; hkl 3 1 -2, 2θ = 32.70°, 2.739 Å, I = 80.1; hkl 2 2 -2, 2θ = 38.35°, 2.347 Å, I = 68.6; hkl 2 2 2, 2θ = 47.39°, 1.918 Å, I = 53.0; hkl 2 2 -4, 2θ = 54.49°, 1.684 Å, I = 59.8; hkl 6 2 -2, 2θ = 62.43°, 1.487 Å, I = 47.6

```
data_BaMgV2Ni3H2O10
_symmetry_space_group_name_H-M 'C 1 2/m 1'
_symmetry_Int_Tables_number 12
_cell_length_a 10.256
_cell_length_b 6.048
_cell_length_c 8.106
_cell_angle_alpha 90.00
_cell_angle_beta 113.32
_cell_angle_gamma 90.00
loop_
_symmetry_equiv_pos_as_xyz
'x,y,z'
'-x,-y,-z'
'-x,y,-z'
'x,-y,z'
'x+1/2,y+1/2,z'
'-x+1/2,-y+1/2,-z'
'-x+1/2,y+1/2,-z'
'x+1/2,-y+1/2,z'
loop_
_atom_site_label
_atom_site_fract_x
_atom_site_fract_y
_atom_site_fract_z
_atom_site_occupancy
Ba1 0.000 0.000 0.000 1
Mg1 0.000 0.500 0.500 1
V1 0.104 0.500 0.817 1
Ni1 0.000 0.000 0.500 1
Ni2 0.250 0.250 0.500 1
H1 0.241 0.000 0.752 1
O1 0.016 0.269 0.313 1
O2 0.204 0.000 0.616 1
O3 0.206 0.500 0.044 1
O4 0.213 0.500 0.672 1
```

---

No. 4
# BaMgV2Ni3H2O10
Computed powder diffractogram, copper Kα. Input: a cell relaxed with GGA+U.
Lines closer than 0.1° are merged.

Main lines, sorted by position (2θ from 5° to 70°):
hkl 0 0 1, 2θ = 12.30°, 7.198 Å, I = 70.9; hkl 1 1 0, 2θ = 17.49°, 5.071 Å, I = 46.7; hkl 1 0 -1, 2θ = 25.48°, 3.496 Å, I = 47.1; hkl 1 1 2, 2θ = 27.33°, 3.263 Å, I = 64.8; hkl 0 1 -2, 2θ = 27.49°, 3.245 Å, I = 100.0; hkl 0 2 -1, 2θ = 34.27°, 2.617 Å, I = 82.5; hkl 2 0 1, 2θ = 34.37°, 2.610 Å, I = 48.2; hkl 0 2 -2, 2θ = 38.80°, 2.321 Å, I = 43.4; hkl 2 2 2, 2θ = 39.09°, 2.304 Å, I = 49.1; hkl 0 2 3, 2θ = 56.37°, 1.632 Å, I = 48.7

```
data_BaMgV2Ni3H2O10
_symmetry_space_group_name_H-M 'P 1'
_symmetry_Int_Tables_number 1
_cell_length_a 5.959
_cell_length_b 6.076
_cell_length_c 7.709
_cell_angle_alpha 89.61
_cell_angle_beta 71.51
_cell_angle_gamma 61.17
loop_
_symmetry_equiv_pos_as_xyz
'x,y,z'
loop_
_atom_site_label
_atom_site_fract_x
_atom_site_fract_y
_atom_site_fract_z
_atom_site_occupancy
Ba1 0.000 0.000 0.000 1
Mg1 0.538 0.429 0.799 1
V1 0.034 0.425 0.697 1
V2 0.263 0.334 0.215 1
Ni1 0.142 0.894 0.450 1
Ni2 0.645 0.883 0.451 1
Ni3 0.654 0.389 0.435 1
H1 0.611 0.642 0.172 1
H2 0.669 0.024 0.723 1
O1 0.059 0.175 0.288 1
O2 0.065 0.680 0.286 1
O3 0.219 0.591 0.699 1
O4 0.221 0.085 0.630 1
O5 0.440 0.216 0.972 1
O6 0.541 0.691 0.309 1
O7 0.543 0.192 0.310 1
O8 0.734 0.577 0.610 1
O9 0.742 0.079 0.609 1
O10 0.778 0.464 0.927 1
```

---

No. 5
# Ba2V3P6HO22
Computed powder diffractogram, copper Kα. Input: a cell relaxed with GGA+U.
Lines closer than 0.1° are merged.

Main lines, sorted by position (2θ from 5° to 70°):
hkl 1 0 1, 2θ = 19.56°, 4.538 Å, I = 54.4; hkl -1 1 1, 2θ = 23.04°, 3.861 Å, I = 84.7; hkl 0 0 3, 2θ = 23.27°, 3.822 Å, I = 43.2; hkl 1 0 2, 2θ = 23.68°, 3.757 Å, I = 64.2; hkl 1 1 2, 2θ = 25.64°, 3.474 Å, I = 53.3; hkl 0 1 -3, 2θ = 26.02°, 3.425 Å, I = 66.7; hkl 0 2 2, 2θ = 26.84°, 3.322 Å, I = 38.8; hkl 1 2 -1, 2θ = 29.27°, 3.052 Å, I = 100.0; hkl -1 2 1, 2θ = 30.42°, 2.938 Å, I = 64.5; hkl 0 2 -3, 2θ = 32.70°, 2.739 Å, I = 35.9

```
data_Ba2V3P6HO22
_symmetry_space_group_name_H-M 'P -1'
_symmetry_Int_Tables_number 2
_cell_length_a 4.921
_cell_length_b 8.034
_cell_length_c 11.484
_cell_angle_alpha 88.70
_cell_angle_beta 89.22
_cell_angle_gamma 87.06
loop_
_symmetry_equiv_pos_as_xyz
'x,y,z'
'-x,-y,-z'
loop_
_atom_site_label
_atom_site_fract_x
_atom_site_fract_y
_atom_site_fract_z
_atom_site_occupancy
Ba1 0.229 0.006 0.177 1
V1 0.218 0.494 0.203 1
V2 0.500 0.000 0.500 1
P1 0.028 0.757 0.426 1
P2 0.266 0.698 0.657 1
P3 0.318 0.294 0.949 1
H1 0.000 0.500 0.000 1
O1 0.011 0.695 0.737 1
O2 0.040 0.659 0.315 1
O3 0.091 0.434 0.914 1
O4 0.177 0.646 0.528 1
O5 0.195 0.914 0.407 1
O6 0.230 0.115 0.929 1
O7 0.264 0.203 0.535 1
O8 0.364 0.318 0.080 1
O9 0.364 0.877 0.653 1
O10 0.421 0.681 0.125 1
O11 0.484 0.565 0.690 1
```